Starting from a DFT-relaxed cell (GGA-PBE, the Materials Project), the powder diffraction line list of Mg6TiV was computed for copper Kα.
Kinematic intensities with the Lorentz-polarization factor, no thermal factor.

Atomic structure:
```
data_Mg6TiV
_chemical_formula_sum 'Mg12 Ti2 V2'
_cell_length_a 5.0167
_cell_length_b 6.0904
_cell_length_c 10.8713
_cell_angle_alpha 90.00
_cell_angle_beta 90.00
_cell_angle_gamma 90.00
_space_group_name_H-M_alt 'A m m 2'
_space_group_IT_number 38
_space_group_name_Hall 'A 2 -2'
loop_
_atom_site_label
_atom_site_type_symbol
_atom_site_fract_x
_atom_site_fract_y
_atom_site_fract_z
_atom_site_occupancy
Mg1 Mg 0.0000 0.0000 0.0000 1
Mg2 Mg 0.0000 0.0000 0.4984 1
Mg3 Mg 0.0000 0.2484 0.2613 1
Mg4 Mg 0.5000 0.2484 0.0921 1
Ti1 Ti 0.5000 0.0000 0.8418 1
V1 V 0.5000 0.0000 0.3403 1
```

Peak list (10 most intense, 10 to 90 degrees two-theta, by angle)
2θ/deg, I/Imax, hkl
16.31, 14, 0 0 2
33.74, 28, 0 2 2
35.80, 41, 2 0 0
37.64, 56, 1 0 4
38.34, 100, 1 2 2
50.01, 17, 2 2 2
59.35, 17, 0 2 6
66.01, 18, 3 2 2
71.29, 19, 2 2 6
73.79, 13, 1 4 4